# K2HfMoO6
Calculated X-ray powder pattern, Cu Kα. Input: the GGA+U geometry in Alexandria.

Principal peaks in the range 10° ≤ 2θ ≤ 90°, low angle first:
21.37 deg, d 4.157, intensity 30; 21.99 deg, d 4.042, intensity 58; 30.86 deg, d 2.898, intensity 100; 31.30 deg, d 2.858, intensity 49; 44.85 deg, d 2.021, intensity 34; 54.59 deg, d 1.681, intensity 18; 55.43 deg, d 1.658, intensity 37; 64.29 deg, d 1.449, intensity 20

Structure:
abc: 5.7157 5.7157 4.1572
angles: 90.00 90.00 90.00
Fractional positions:
K: 0.0000 0.5000 0.0000
K: 0.5000 0.0000 0.0000
Hf: 0.0000 0.0000 0.5148
Mo: 0.5000 0.5000 0.4624
O: 0.0000 0.0000 0.0180
O: 0.2628 0.2628 0.5174
O: 0.2628 0.7372 0.5174
O: 0.5000 0.5000 0.0282
O: 0.7372 0.2628 0.5174
O: 0.7372 0.7372 0.5174

# Na6V2PC4O16
Calculated X-ray powder pattern, Cu Kα. Input: the GGA+U geometry in Alexandria.

Principal peaks in the range 10° ≤ 2θ ≤ 90°, low angle first:
10.87 deg, d 8.136, intensity 19; 20.91 deg, d 4.249, intensity 67; 33.03 deg, d 2.712, intensity 100; 36.05 deg, d 2.491, intensity 45; 37.77 deg, d 2.382, intensity 17; 45.99 deg, d 1.973, intensity 19; 56.56 deg, d 1.627, intensity 30; 56.97 deg, d 1.616, intensity 15

Structure:
abc: 9.9645 9.9645 9.9645
angles: 60.00 60.00 60.00
Fractional positions:
Na: 0.0800 0.0800 0.6700
Na: 0.0800 0.6700 0.0800
Na: 0.0800 0.6700 0.6700
Na: 0.3300 0.3300 0.9200
Na: 0.3300 0.9200 0.3300
Na: 0.3300 0.9200 0.9200
Na: 0.6700 0.0800 0.0800
Na: 0.6700 0.0800 0.6700
Na: 0.6700 0.6700 0.0800
Na: 0.9200 0.3300 0.3300
Na: 0.9200 0.3300 0.9200
Na: 0.9200 0.9200 0.3300
V: 0.0000 0.5000 0.5000
V: 0.5000 0.0000 0.5000
V: 0.5000 0.5000 0.0000
V: 0.5000 0.5000 0.5000
P: 0.1250 0.1250 0.1250
P: 0.8750 0.8750 0.8750
C: 0.2844 0.2844 0.2844
C: 0.2844 0.2844 0.6468
C: 0.2844 0.6468 0.2844
C: 0.3532 0.7156 0.7156
C: 0.6468 0.2844 0.2844
C: 0.7156 0.3532 0.7156
C: 0.7156 0.7156 0.3532
C: 0.7156 0.7156 0.7156
O: 0.0610 0.0610 0.0610
O: 0.0610 0.0610 0.3170
O: 0.0610 0.3170 0.0610
O: 0.1440 0.3064 0.4018
O: 0.1440 0.4018 0.6478
O: 0.1440 0.6478 0.3064
O: 0.3064 0.1440 0.6478
O: 0.3064 0.4018 0.1440
O: 0.3064 0.6478 0.4018
O: 0.3170 0.0610 0.0610
O: 0.3522 0.5982 0.6936
O: 0.3522 0.6936 0.8560
O: 0.3522 0.8560 0.5982
O: 0.4018 0.1440 0.3064
O: 0.4018 0.3064 0.6478
O: 0.4018 0.6478 0.1440
O: 0.5982 0.3522 0.8560
O: 0.5982 0.6936 0.3522
O: 0.5982 0.8560 0.6936
O: 0.6478 0.1440 0.4018
O: 0.6478 0.3064 0.1440
O: 0.6478 0.4018 0.3064
O: 0.6830 0.9390 0.9390
O: 0.6936 0.3522 0.5982
O: 0.6936 0.5982 0.8560
O: 0.6936 0.8560 0.3522
O: 0.8560 0.3522 0.6936
O: 0.8560 0.5982 0.3522
O: 0.8560 0.6936 0.5982
O: 0.9390 0.6830 0.9390
O: 0.9390 0.9390 0.6830
O: 0.9390 0.9390 0.9390

- What is the formula in the first record?
  K2HfMoO6